The following is a calculated powder diffractogram of Ce4Pr2P3N2. It was derived from a structure optimized by DFT (PBE), using Cu Kα (λ = 1.5418 Å).
Kinematic intensities with the Lorentz-polarization factor, no thermal factor.

Structure:
```
data_Ce4Pr2P3N2
_chemical_formula_sum 'Ce8 Pr4 P6 N4'
_symmetry_space_group_name_H-M 'I 4/m m m'
_symmetry_Int_Tables_number 139
_symmetry_space_group_name_Hall '-I 4 2'
_cell_length_a 4.566
_cell_length_b 4.566
_cell_length_c 24.084
_cell_angle_alpha 90.00
_cell_angle_beta 90.00
_cell_angle_gamma 90.00
loop_
_atom_site_label
_atom_site_type_symbol
_atom_site_fract_x
_atom_site_fract_y
_atom_site_fract_z
_atom_site_occupancy
Ce1 Ce 0.000 0.500 0.079 1
Pr1 Pr 0.000 0.000 0.201 1
P1 P 0.000 0.000 0.328 1
P2 P 0.000 0.000 0.500 1
N1 N 0.000 0.000 0.100 1
```

Largest 6 diffraction maxima, low angle first, 5° ≤ 2θ ≤ 70°:
hkl 1 1 2, d 3.119, intensity 100
hkl 0 0 8, d 3.011, intensity 29
hkl 1 1 6, d 2.516, intensity 97
hkl 2 0 0, d 2.283, intensity 69
hkl 1 1 12, d 1.705, intensity 28
hkl 3 1 6, d 1.359, intensity 28



The following is a calculated powder diffractogram of CaCe2Pt3. It was derived from a structure optimized by DFT (PBE), using Cu Kα (λ = 1.5418 Å).
Kinematic intensities with the Lorentz-polarization factor, no thermal factor.

Structure:
```
data_CaCe2Pt3
_chemical_formula_sum 'Ca4 Ce8 Pt12'
_symmetry_space_group_name_H-M 'C 1 2/c 1'
_symmetry_Int_Tables_number 15
_cell_length_a 13.180
_cell_length_b 5.838
_cell_length_c 8.173
_cell_angle_alpha 90.00
_cell_angle_beta 108.08
_cell_angle_gamma 90.00
loop_
_symmetry_equiv_pos_as_xyz
'x,y,z'
'-x,-y,-z'
'-x,y,-z+1/2'
'x,-y,z+1/2'
'x+1/2,y+1/2,z'
'-x+1/2,-y+1/2,-z'
'-x+1/2,y+1/2,-z+1/2'
'x+1/2,-y+1/2,z+1/2'
loop_
_atom_site_label
_atom_site_type_symbol
_atom_site_fract_x
_atom_site_fract_y
_atom_site_fract_z
_atom_site_occupancy
Ca1 Ca 0.000 0.002 0.250 1
Ce1 Ce 0.165 0.500 0.082 1
Pt1 Pt 0.000 0.498 0.750 1
Pt2 Pt 0.176 0.000 0.088 1
```

Largest 6 diffraction maxima, low angle first, 5° ≤ 2θ ≤ 70°:
hkl 0 2 0, d 2.920, intensity 100
hkl 6 0 0, d 2.088, intensity 12
hkl 2 2 2, d 2.065, intensity 50
hkl 2 0 -4, d 2.043, intensity 12
hkl 6 2 0, d 1.698, intensity 13
hkl 2 2 -4, d 1.674, intensity 13



The following is a calculated powder diffractogram of Ce4YBi6. It was derived from a structure optimized by DFT (PBE), using Cu Kα (λ = 1.5418 Å).
Kinematic intensities with the Lorentz-polarization factor, no thermal factor.

Structure:
```
data_Ce4YBi6
_chemical_formula_sum 'Ce24 Y6 Bi36'
_symmetry_space_group_name_H-M 'R -3 c'
_symmetry_Int_Tables_number 167
_symmetry_space_group_name_Hall '-R 3 2"c'
_cell_length_a 12.5487
_cell_length_b 12.5487
_cell_length_c 15.9144
_cell_angle_alpha 90.00
_cell_angle_beta 90.00
_cell_angle_gamma 120.00
loop_
_atom_site_label
_atom_site_type_symbol
_atom_site_fract_x
_atom_site_fract_y
_atom_site_fract_z
_atom_site_occupancy
Ce1 Ce 0.0000 0.0000 0.2500 1
Ce2 Ce 0.0000 0.3893 0.2500 1
Y1 Y 0.0000 0.0000 0.0000 1
Bi1 Bi 0.0345 0.2136 0.3864 1
```

Largest 6 diffraction maxima, low angle first, 5° ≤ 2θ ≤ 70°:
hkl 1 2 2, d 3.650, intensity 32
hkl 1 3 1, d 2.961, intensity 99
hkl 2 1 4, d 2.858, intensity 87
hkl 2 2 3, d 2.700, intensity 100
hkl 4 1 0, d 2.371, intensity 37
hkl 5 3 2, d 1.524, intensity 55